# 1
Diffraction record for Ag2Ru3. The X-ray powder pattern is calculated, not measured: it uses a crystal structure in Alexandria, relaxed with GGA-PBE and Cu Kα (λ = 1.5418 Å).
No peak broadening, texture or thermal motion is included.

Structure:
Cell: 2.766 2.766 35.131 Å, 90.00 90.00 120.00°
Sites, in units of the cell vectors:
Ag 0.000 0.000 0.099
Ag 0.000 0.000 0.901
Ag 0.333 0.667 0.568
Ag 0.333 0.667 0.765
Ag 0.667 0.333 0.235
Ag 0.667 0.333 0.432
Ru 0.000 0.000 0.305
Ru 0.000 0.000 0.500
Ru 0.000 0.000 0.695
Ru 0.333 0.667 0.167
Ru 0.333 0.667 0.361
Ru 0.333 0.667 0.972
Ru 0.667 0.333 0.028
Ru 0.667 0.333 0.639
Ru 0.667 0.333 0.833

Principal peaks in the range 2θ = 15–90°, most intense first:
d (Å), I (rel.), (hkl)
2.267, 100, 0 1 5
1.979, 63, 1 0 10
2.342, 33, 0 0 15
1.191, 22, 1 1 15
1.383, 20, 1 1 0
1.416, 18, 0 1 20
1.181, 12, 2 0 5
1.134, 10, 0 2 10
1.212, 10, 1 0 25
1.171, 3, 0 0 30

# 2
Diffraction record for Ag3Ru. The X-ray powder pattern is calculated, not measured: it uses a crystal structure in Alexandria, relaxed with GGA-PBE and Cu Kα (λ = 1.5418 Å).
No peak broadening, texture or thermal motion is included.

Structure:
Cell: 2.857 4.780 9.937 Å, 90.00 90.00 90.00°
Sites, in units of the cell vectors:
Ag 0.000 0.000 0.000
Ag 0.000 0.500 0.255
Ag 0.000 0.500 0.745
Ag 0.500 0.000 0.255
Ag 0.500 0.000 0.745
Ag 0.500 0.500 0.000
Ru 0.000 0.000 0.500
Ru 0.500 0.500 0.500

Principal peaks in the range 2θ = 15–90°, most intense first:
d (Å), I (rel.), (hkl)
2.199, 100, 1 1 2
2.484, 36, 0 0 4
2.390, 32, 0 2 0
1.722, 23, 0 2 4
1.372, 20, 1 1 6
1.340, 19, 1 3 2
1.099, 10, 2 2 4
1.238, 7, 2 0 4
1.226, 7, 2 2 0
1.428, 6, 2 0 0

# 3
Diffraction record for AgSb2Ru2. The X-ray powder pattern is calculated, not measured: it uses a crystal structure in Alexandria, relaxed with GGA-PBE and Cu Kα (λ = 1.5418 Å).
No peak broadening, texture or thermal motion is included.

Structure:
Cell: 7.602 7.602 3.146 Å, 90.00 90.00 90.00°
Sites, in units of the cell vectors:
Ag 0.000 0.000 0.000
Ag 0.500 0.500 0.000
Sb 0.156 0.344 0.500
Sb 0.344 0.844 0.500
Sb 0.656 0.156 0.500
Sb 0.844 0.656 0.500
Ru 0.140 0.640 0.000
Ru 0.360 0.140 0.000
Ru 0.640 0.860 0.000
Ru 0.860 0.360 0.000

Principal peaks in the range 2θ = 15–90°, most intense first:
d (Å), I (rel.), (hkl)
2.309, 100, 2 1 1
2.404, 62, 3 1 0
1.288, 22, 5 2 1
1.316, 18, 3 1 2
2.424, 13, 2 0 1
1.591, 11, 4 1 1
1.573, 10, 0 0 2
2.688, 8, 2 2 0
1.792, 8, 3 3 0
1.901, 7, 4 0 0

What did the first record say?
Diffraction record for Ag2Ru3. The X-ray powder pattern is calculated, not measured: it uses a crystal structure in Alexandria, relaxed with GGA-PBE and Cu Kα (λ = 1.5418 Å).
No peak broadening, texture or thermal motion is included.

Structure:
Cell: 2.766 2.766 35.131 Å, 90.00 90.00 120.00°
Sites, in units of the cell vectors:
Ag 0.000 0.000 0.099
Ag 0.000 0.000 0.901
Ag 0.333 0.667 0.568
Ag 0.333 0.667 0.765
Ag 0.667 0.333 0.235
Ag 0.667 0.333 0.432
Ru 0.000 0.000 0.305
Ru 0.000 0.000 0.500
Ru 0.000 0.000 0.695
Ru 0.333 0.667 0.167
Ru 0.333 0.667 0.361
Ru 0.333 0.667 0.972
Ru 0.667 0.333 0.028
Ru 0.667 0.333 0.639
Ru 0.667 0.333 0.833

Principal peaks in the range 2θ = 15–90°, most intense first:
d (Å), I (rel.), (hkl)
2.267, 100, 0 1 5
1.979, 63, 1 0 10
2.342, 33, 0 0 15
1.191, 22, 1 1 15
1.383, 20, 1 1 0
1.416, 18, 0 1 20
1.181, 12, 2 0 5
1.134, 10, 0 2 10
1.212, 10, 1 0 25
1.171, 3, 0 0 30

What is the formula in the second record? Ag3Ru